Entry 1:
Li7Mn2Co3O12: theoretical X-ray diffraction stick pattern (Cu Kα), based on a cell relaxed with GGA+U.

The 6 most intense peaks (10 to 90 degrees two-theta), low angle first:
(hkl), two_theta, I_rel
0 0 1, 10.01, 15
1 0 0, 11.78, 16
1 0 1, 18.42, 100
1 1 -2, 36.49, 26
4 0 -2, 43.66, 28
0 1 3, 44.05, 56

Crystal structure
```
data_Li7Mn2Co3O12
_chemical_formula_sum 'Li7 Mn2 Co3 O12'
_cell_length_a 8.2931
_cell_length_b 2.8711
_cell_length_c 9.7321
_cell_angle_alpha 90.00
_cell_angle_beta 114.83
_cell_angle_gamma 90.00
_space_group_name_H-M_alt 'P 1'
_space_group_IT_number 1
loop_
_space_group_symop_operation_xyz
'x,y,z'
loop_
_atom_site_label
_atom_site_fract_x
_atom_site_fract_y
_atom_site_fract_z
Li1 0.0000 0.0000 0.0000
Li2 0.0000 0.5000 0.5000
Li3 0.1675 0.0000 0.3300
Li4 0.3091 0.5000 0.1664
Li5 0.5000 0.0000 0.0000
Li6 0.6909 0.5000 0.8336
Li7 0.8325 0.0000 0.6700
Mn1 0.1574 0.5000 0.8354
Mn2 0.8426 0.5000 0.1646
Co1 0.3414 0.0000 0.6688
Co2 0.5000 0.5000 0.5000
Co3 0.6586 0.0000 0.3312
O1 0.0658 0.5000 0.1700
O2 0.0951 0.0000 0.6811
O3 0.2404 0.0000 0.9816
O4 0.2701 0.5000 0.5111
O5 0.4002 0.5000 0.8264
O6 0.4264 0.0000 0.3500
O7 0.5736 0.0000 0.6500
O8 0.5998 0.5000 0.1736
O9 0.7299 0.5000 0.4889
O10 0.7596 0.0000 0.0184
O11 0.9049 0.0000 0.3189
O12 0.9342 0.5000 0.8300
```

Entry 2:
Li7Mn2Co3O12: theoretical X-ray diffraction stick pattern (Cu Kα), based on a cell relaxed with GGA+U.

The 6 most intense peaks (10 to 90 degrees two-theta), low angle first:
(hkl), two_theta, I_rel
1 0 0, 18.39, 100
0 2 1, 43.20, 29
2 -2 2, 43.71, 28
2 0 -3, 43.94, 27
2 -4 1, 63.05, 15
2 0 3, 63.22, 15

Crystal structure
```
data_Li7Mn2Co3O12
_chemical_formula_sum 'Li7 Mn2 Co3 O12'
_cell_length_a 5.8827
_cell_length_b 5.8961
_cell_length_c 7.6700
_cell_angle_alpha 100.54
_cell_angle_beta 100.71
_cell_angle_gamma 119.87
_space_group_name_H-M_alt 'P 1'
_space_group_IT_number 1
loop_
_space_group_symop_operation_xyz
'x,y,z'
loop_
_atom_site_label
_atom_site_fract_x
_atom_site_fract_y
_atom_site_fract_z
Li1 0.0000 0.0000 0.0000
Li2 0.9999 0.1653 0.6739
Li3 0.0064 0.6646 0.6617
Li4 0.0128 0.3382 0.3360
Li5 0.0156 0.8465 0.3401
Li6 0.5020 0.1697 0.6666
Li7 0.9877 0.4943 0.9902
Mn1 0.4955 0.4965 0.9974
Mn2 0.5090 0.3361 0.3372
Co1 0.5030 0.6616 0.6661
Co2 0.5053 0.0038 0.9860
Co3 0.5078 0.8468 0.3427
O1 0.2646 0.5846 0.8447
O2 0.2722 0.1142 0.8498
O3 0.2795 0.2671 0.4891
O4 0.2835 0.4249 0.1719
O5 0.2826 0.7498 0.5003
O6 0.2872 0.9518 0.1768
O7 0.7164 0.8842 0.1615
O8 0.7243 0.5874 0.8397
O9 0.7261 0.4167 0.1594
O10 0.7359 0.0740 0.8414
O11 0.7386 0.7255 0.4930
O12 0.7396 0.2516 0.4812
```